(1)
This entry pairs a crystal structure of La5PPb3 with its simulated X-ray powder pattern. Radiation: Cu Kα, 1.54184 Å. Structure: a DFT-relaxed cell (PBE, the Materials Project).

Top 10 peaks for 10 to 90 degrees two-theta, low angle first:
| 2θ/deg | I_rel |
| --- | --- |
| 24.31 | 24 |
| 28.22 | 19 |
| 30.64 | 74 |
| 30.80 | 100 |
| 32.09 | 33 |
| 32.50 | 13 |
| 40.79 | 23 |
| 47.03 | 31 |
| 49.82 | 12 |
| 60.87 | 22 |

Cell and atoms:
abc: 9.661 9.661 7.321
angles: 90.00 90.00 120.00
Atoms (fractional coordinates):
La  0.000  0.236  0.250
La  0.000  0.764  0.750
La  0.236  0.000  0.250
La  0.236  0.236  0.750
La  0.333  0.667  0.000
La  0.333  0.667  0.500
La  0.667  0.333  0.000
La  0.667  0.333  0.500
La  0.764  0.000  0.750
La  0.764  0.764  0.250
P  0.000  0.000  0.000
P  0.000  0.000  0.500
Pb  0.000  0.402  0.750
Pb  0.000  0.598  0.250
Pb  0.402  0.000  0.750
Pb  0.402  0.402  0.250
Pb  0.598  0.000  0.250
Pb  0.598  0.598  0.750

(2)
This entry pairs a crystal structure of TbSi2Rh3 with its simulated X-ray powder pattern. Radiation: Cu Kα, 1.54184 Å. Structure: a DFT-relaxed cell (PBE, the Materials Project).

Top 10 peaks for 10 to 90 degrees two-theta, low angle first:
| 2θ/deg | I_rel |
| --- | --- |
| 30.61 | 96 |
| 37.54 | 100 |
| 40.79 | 81 |
| 45.14 | 21 |
| 49.47 | 21 |
| 56.63 | 34 |
| 63.48 | 22 |
| 63.72 | 42 |
| 67.75 | 24 |
| 88.37 | 25 |

Cell and atoms:
abc: 5.532 5.532 3.685
angles: 90.00 90.00 120.00
Atoms (fractional coordinates):
Tb  0.000  0.000  0.000
Si  0.333  0.667  0.000
Si  0.667  0.333  0.000
Rh  0.000  0.500  0.500
Rh  0.500  0.000  0.500
Rh  0.500  0.500  0.500

(3)
This entry pairs a crystal structure of Lu2N3 with its simulated X-ray powder pattern. Radiation: Cu Kα, 1.54184 Å. Structure: a DFT-relaxed cell (PBE, the Materials Project).

Top 10 peaks for 10 to 90 degrees two-theta, low angle first:
| 2θ/deg | I_rel |
| --- | --- |
| 20.50 | 9 |
| 29.16 | 100 |
| 33.79 | 38 |
| 43.49 | 7 |
| 48.54 | 37 |
| 57.63 | 33 |
| 59.05 | 6 |
| 60.45 | 8 |
| 78.61 | 10 |
| 81.07 | 8 |

Cell and atoms:
abc: 9.189 9.189 9.189
angles: 109.47 109.47 109.47
Atoms (fractional coordinates):
Lu  0.000  0.000  0.500
Lu  0.000  0.500  0.000
Lu  0.031  0.750  0.781
Lu  0.219  0.969  0.250
Lu  0.250  0.219  0.969
Lu  0.250  0.719  0.469
Lu  0.281  0.531  0.750
Lu  0.469  0.250  0.719
Lu  0.500  0.000  0.000
Lu  0.500  0.500  0.500
Lu  0.531  0.750  0.281
Lu  0.719  0.469  0.250
Lu  0.750  0.281  0.531
Lu  0.750  0.781  0.031
Lu  0.781  0.031  0.750
Lu  0.969  0.250  0.219
N  0.008  0.039  0.269
N  0.031  0.492  0.761
N  0.039  0.269  0.008
N  0.230  0.461  0.469
N  0.231  0.270  0.739
N  0.239  0.969  0.508
N  0.261  0.769  0.730
N  0.269  0.008  0.039
N  0.270  0.739  0.231
N  0.461  0.469  0.230
N  0.469  0.230  0.461
N  0.492  0.761  0.031
N  0.508  0.239  0.969
N  0.531  0.770  0.539
N  0.539  0.531  0.770
N  0.730  0.261  0.769
N  0.731  0.992  0.961
N  0.739  0.231  0.270
N  0.761  0.031  0.492
N  0.769  0.730  0.261
N  0.770  0.539  0.531
N  0.961  0.731  0.992
N  0.969  0.508  0.239
N  0.992  0.961  0.731

(4)
This entry pairs a crystal structure of Rb2Ta15O32 with its simulated X-ray powder pattern. Radiation: Cu Kα, 1.54184 Å. Structure: a DFT-relaxed cell (PBE, the Materials Project).

Top 10 peaks for 10 to 90 degrees two-theta, low angle first:
| 2θ/deg | I_rel |
| --- | --- |
| 16.23 | 49 |
| 23.50 | 53 |
| 26.97 | 100 |
| 28.89 | 56 |
| 31.70 | 59 |
| 34.85 | 92 |
| 36.18 | 52 |
| 37.00 | 78 |
| 49.78 | 88 |
| 62.32 | 53 |

Cell and atoms:
abc: 12.960 12.960 12.960
angles: 35.41 35.41 35.41
Atoms (fractional coordinates):
Rb  0.140  0.140  0.140
Rb  0.860  0.860  0.860
Ta  0.025  0.571  0.699
Ta  0.053  0.815  0.228
Ta  0.185  0.772  0.947
Ta  0.228  0.053  0.815
Ta  0.301  0.975  0.429
Ta  0.362  0.362  0.362
Ta  0.429  0.301  0.975
Ta  0.500  0.500  0.500
Ta  0.571  0.699  0.025
Ta  0.638  0.638  0.638
Ta  0.699  0.025  0.571
Ta  0.772  0.947  0.185
Ta  0.815  0.228  0.053
Ta  0.947  0.185  0.772
Ta  0.975  0.429  0.301
O  0.034  0.151  0.447
O  0.040  0.299  0.858
O  0.142  0.960  0.701
O  0.151  0.447  0.034
O  0.155  0.570  0.457
O  0.170  0.258  0.571
O  0.258  0.571  0.170
O  0.260  0.471  0.672
O  0.264  0.264  0.264
O  0.299  0.858  0.040
O  0.328  0.740  0.529
O  0.429  0.830  0.742
O  0.430  0.543  0.845
O  0.447  0.034  0.151
O  0.457  0.155  0.570
O  0.471  0.672  0.260
O  0.529  0.328  0.740
O  0.543  0.845  0.430
O  0.553  0.966  0.849
O  0.570  0.457  0.155
O  0.571  0.170  0.258
O  0.672  0.260  0.471
O  0.701  0.142  0.960
O  0.736  0.736  0.736
O  0.740  0.529  0.328
O  0.742  0.429  0.830
O  0.830  0.742  0.429
O  0.845  0.430  0.543
O  0.849  0.553  0.966
O  0.858  0.040  0.299
O  0.960  0.701  0.142
O  0.966  0.849  0.553

(5)
This entry pairs a crystal structure of K2RbGaCl6 with its simulated X-ray powder pattern. Radiation: Cu Kα, 1.54184 Å. Structure: a DFT-relaxed cell (PBE, the Materials Project).

Top 10 peaks for 10 to 90 degrees two-theta, low angle first:
| 2θ/deg | I_rel |
| --- | --- |
| 16.22 | 74 |
| 23.01 | 84 |
| 32.77 | 100 |
| 36.77 | 28 |
| 40.42 | 30 |
| 47.03 | 60 |
| 52.98 | 24 |
| 58.50 | 18 |
| 63.71 | 23 |
| 78.22 | 19 |

Cell and atoms:
abc: 7.729 7.729 7.729
angles: 60.00 60.00 60.00
Atoms (fractional coordinates):
K  0.250  0.250  0.250
K  0.750  0.750  0.750
Rb  0.000  0.000  0.000
Ga  0.500  0.500  0.500
Cl  0.281  0.281  0.719
Cl  0.281  0.719  0.281
Cl  0.281  0.719  0.719
Cl  0.719  0.281  0.281
Cl  0.719  0.281  0.719
Cl  0.719  0.719  0.281